# TbNd3Pb3
Simulated XRD peak list, Cu Ka. Input: a structure optimized by DFT (PBE).

Structure:
```
data_TbNd3Pb3
_space_group_name_H-M_alt 'C 1 2/m 1'
_space_group_IT_number 12
_cell_length_a 8.5032
_cell_length_b 10.9113
_cell_length_c 9.7628
_cell_angle_alpha 90.00
_cell_angle_beta 90.62
_cell_angle_gamma 90.00
loop_
_space_group_symop_operation_xyz
'x,y,z'
'-x,-y,-z'
'-x,y,-z'
'x,-y,z'
'x+1/2,y+1/2,z'
'-x+1/2,-y+1/2,-z'
'-x+1/2,y+1/2,-z'
'x+1/2,-y+1/2,z'
loop_
_atom_site_label
_atom_site_type_symbol
_atom_site_fract_x
_atom_site_fract_y
_atom_site_fract_z
Tb1 Tb 0.2130 0.0000 0.4677
Nd1 Nd 0.0000 0.2702 0.5000
Nd2 Nd 0.0000 0.3142 0.0000
Nd3 Nd 0.0728 0.0000 0.8124
Pb1 Pb 0.0377 0.5000 0.2648
Pb2 Pb 0.2398 0.2194 0.2419
```

Top 10 peaks for 2θ = 10–90°, by angle:
hkl	d (Å)	2θ/deg	Rel. int.
2 0 2	3.187	28.00	15
1 3 1	3.161	28.23	31
2 2 -2	2.775	32.26	100
2 2 2	2.753	32.52	74
0 4 0	2.728	32.83	32
3 1 1	2.632	34.06	18
0 0 4	2.441	36.83	28
1 3 3	2.327	38.69	12
4 0 0	2.126	42.53	14
0 4 4	1.819	50.16	13

# PaTiAs3
Simulated XRD peak list, Cu Ka. Input: a structure optimized by DFT (PBE).

Structure:
```
data_PaTiAs3
_space_group_name_H-M_alt 'P b c m'
_space_group_IT_number 57
_cell_length_a 12.0860
_cell_length_b 5.8167
_cell_length_c 5.7640
_cell_angle_alpha 90.00
_cell_angle_beta 90.00
_cell_angle_gamma 90.00
loop_
_space_group_symop_operation_xyz
'x,y,z'
'-x,-y,-z'
'-x,-y,z+1/2'
'x,y,-z+1/2'
'x,-y+1/2,-z'
'-x,y+1/2,z'
'-x,y+1/2,-z+1/2'
'x,-y+1/2,z+1/2'
loop_
_atom_site_label
_atom_site_type_symbol
_atom_site_fract_x
_atom_site_fract_y
_atom_site_fract_z
Pa1 Pa 0.1816 0.0064 0.2500
Ti1 Ti 0.4184 0.7500 0.0000
As1 As 0.0015 0.7500 0.0000
As2 As 0.2581 0.5172 0.2500
As3 As 0.4192 0.1095 0.2500
```

Top 10 peaks for 2θ = 10–90°, by angle:
hkl	d (Å)	2θ/deg	Rel. int.
1 1 1	3.878	22.93	95
2 1 1	3.390	26.29	45
2 2 0	2.621	34.22	72
2 0 2	2.601	34.49	66
4 1 1	2.431	36.98	100
5 0 0	2.417	37.20	35
3 2 0	2.358	38.16	43
3 0 2	2.344	38.40	43
0 2 2	2.047	44.24	68
5 2 2	1.562	59.15	53

# RbNa2TlF4
Simulated XRD peak list, Cu Ka. Input: a structure optimized by DFT (PBE).

Structure:
```
data_RbNa2TlF4
_space_group_name_H-M_alt 'C m c m'
_space_group_IT_number 63
_space_group_name_Hall '-C 2c 2'
_cell_length_a 3.4639
_cell_length_b 16.5171
_cell_length_c 10.2963
_cell_angle_alpha 90.00
_cell_angle_beta 90.00
_cell_angle_gamma 90.00
loop_
_atom_site_label
_atom_site_type_symbol
_atom_site_fract_x
_atom_site_fract_y
_atom_site_fract_z
Rb1 Rb 0.0000 0.2489 0.2500
Na1 Na 0.0000 0.3940 0.5223
Tl1 Tl 0.0000 0.0281 0.7500
F1 F 0.0000 0.0000 0.0000
F2 F 0.0000 0.1677 0.5809
F3 F 0.0000 0.3955 0.7500
```

Top 10 peaks for 2θ = 10–90°, by angle:
hkl	d (Å)	2θ/deg	Rel. int.
0 2 0	8.259	10.71	79
0 0 2	5.148	17.22	100
0 4 0	4.129	21.52	40
1 1 0	3.390	26.29	53
0 4 2	3.221	27.69	90
1 1 2	2.831	31.60	70
1 3 1	2.820	31.73	89
0 0 4	2.574	34.85	47
1 3 2	2.548	35.23	38
1 7 1	1.916	47.45	48

# InSi5
Simulated XRD peak list, Cu Ka. Input: a structure optimized by DFT (PBE).

Structure:
```
data_InSi5
_space_group_name_H-M_alt 'A m m 2'
_space_group_IT_number 38
_cell_length_a 5.1824
_cell_length_b 2.7511
_cell_length_c 14.4938
_cell_angle_alpha 90.00
_cell_angle_beta 90.00
_cell_angle_gamma 90.00
loop_
_space_group_symop_operation_xyz
'x,y,z'
'-x,-y,z'
'-x,y,z'
'x,-y,z'
'x,y+1/2,z+1/2'
'-x,-y+1/2,z+1/2'
'-x,y+1/2,z+1/2'
'x,-y+1/2,z+1/2'
loop_
_atom_site_label
_atom_site_type_symbol
_atom_site_fract_x
_atom_site_fract_y
_atom_site_fract_z
In1 In 0.0000 0.0000 0.0000
Si1 Si 0.0000 0.0000 0.3220
Si2 Si 0.0000 0.0000 0.6783
Si3 Si 0.5000 0.0000 0.0006
Si4 Si 0.5000 0.0000 0.3340
Si5 Si 0.5000 0.0000 0.6665
```

Top 10 peaks for 2θ = 10–90°, by angle:
hkl	d (Å)	2θ/deg	Rel. int.
0 0 2	7.247	12.21	55
1 0 0	5.182	17.11	32
1 0 2	4.215	21.08	33
0 0 4	3.623	24.57	19
1 0 4	2.970	30.09	24
2 0 0	2.591	34.62	51
0 0 6	2.416	37.22	40
0 1 3	2.392	37.61	100
2 0 6	1.767	51.74	30
2 1 3	1.757	52.05	60

# Ac6BiAs4
Simulated XRD peak list, Cu Ka. Input: a structure optimized by DFT (PBE).

Structure:
```
data_Ac6BiAs4
_space_group_name_H-M_alt 'C m c m'
_space_group_IT_number 63
_space_group_name_Hall '-C 2c 2'
_cell_length_a 4.5798
_cell_length_b 14.9142
_cell_length_c 23.1606
_cell_angle_alpha 90.00
_cell_angle_beta 90.00
_cell_angle_gamma 90.00
loop_
_atom_site_label
_atom_site_type_symbol
_atom_site_fract_x
_atom_site_fract_y
_atom_site_fract_z
Ac1 Ac 0.0000 0.0000 0.0000
Ac2 Ac 0.0000 0.1661 0.2500
Ac3 Ac 0.0000 0.2734 0.5812
Ac4 Ac 0.0000 0.4578 0.1594
Bi1 Bi 0.0000 0.1620 0.7500
As1 As 0.0000 0.0912 0.1252
As2 As 0.0000 0.3623 0.0415
```

Top 10 peaks for 2θ = 10–90°, by angle:
hkl	d (Å)	2θ/deg	Rel. int.
1 1 4	3.492	25.51	39
0 2 6	3.428	25.99	86
1 3 1	3.333	26.74	36
1 3 2	3.234	27.58	100
1 3 3	3.087	28.92	35
1 1 8	2.415	37.23	25
2 0 0	2.292	39.31	59
0 6 4	2.284	39.45	20
1 5 5	2.199	41.05	25
2 2 6	1.904	47.76	34

# Rb2MgNpCl6
Simulated XRD peak list, Cu Ka. Input: a structure optimized by DFT (PBE).

Structure:
```
data_Rb2MgNpCl6
_space_group_name_H-M_alt 'P m m n'
_space_group_IT_number 59
_cell_length_a 7.5973
_cell_length_b 10.7056
_cell_length_c 7.5569
_cell_angle_alpha 90.00
_cell_angle_beta 90.00
_cell_angle_gamma 90.00
loop_
_space_group_symop_operation_xyz
'x,y,z'
'-x,-y,-z'
'-x+1/2,-y+1/2,z'
'x+1/2,y+1/2,-z'
'x+1/2,-y,-z'
'-x+1/2,y,z'
'-x,y+1/2,-z'
'x,-y+1/2,z'
loop_
_atom_site_label
_atom_site_type_symbol
_atom_site_fract_x
_atom_site_fract_y
_atom_site_fract_z
Rb1 Rb 0.2500 0.0009 0.2488
Mg1 Mg 0.2500 0.7500 0.7504
Np1 Np 0.2500 0.2500 0.7492
Cl1 Cl 0.0144 0.7500 0.5129
Cl2 Cl 0.0145 0.7500 0.9883
Cl3 Cl 0.2500 0.5126 0.7507
```

Top 10 peaks for 2θ = 10–90°, by angle:
hkl	d (Å)	2θ/deg	Rel. int.
1 1 0	6.185	14.32	64
1 0 1	5.356	16.55	27
2 0 0	3.789	23.48	100
0 0 2	3.778	23.55	20
0 3 1	3.230	27.62	55
2 0 2	2.678	33.46	79
3 1 0	2.461	36.51	17
2 4 0	2.190	41.22	28
1 2 3	2.183	41.35	28
2 4 2	1.893	48.05	36

# Rb4PuBr6
Simulated XRD peak list, Cu Ka. Input: a structure optimized by DFT (PBE).

Structure:
```
data_Rb4PuBr6
_space_group_name_H-M_alt 'P 4/m n c'
_space_group_IT_number 128
_space_group_name_Hall '-P 4 2n'
_cell_length_a 9.5239
_cell_length_b 9.5239
_cell_length_c 10.0090
_cell_angle_alpha 90.00
_cell_angle_beta 90.00
_cell_angle_gamma 90.00
loop_
_atom_site_label
_atom_site_type_symbol
_atom_site_fract_x
_atom_site_fract_y
_atom_site_fract_z
Rb1 Rb 0.1726 0.3274 0.2500
Pu1 Pu 0.0000 0.0000 0.0000
Br1 Br 0.0000 0.0000 0.2959
Br2 Br 0.0951 0.6957 0.0000
```

Top 10 peaks for 2θ = 10–90°, by angle:
hkl	d (Å)	2θ/deg	Rel. int.
1 0 1	6.900	12.83	97
1 1 0	6.734	13.15	34
2 2 0	3.367	26.47	22
2 1 2	3.244	27.50	100
1 0 3	3.149	28.34	42
3 1 0	3.012	29.66	93
0 0 4	2.502	35.89	28
4 2 0	2.130	42.45	24
3 2 3	2.071	43.71	26
3 1 4	1.925	47.23	37

# Pa4IrRuS2
Simulated XRD peak list, Cu Ka. Input: a structure optimized by DFT (PBE).

Structure:
```
data_Pa4IrRuS2
_space_group_name_H-M_alt 'P 1 2/m 1'
_space_group_IT_number 10
_cell_length_a 6.6432
_cell_length_b 3.8432
_cell_length_c 7.2775
_cell_angle_alpha 90.00
_cell_angle_beta 107.72
_cell_angle_gamma 90.00
loop_
_space_group_symop_operation_xyz
'x,y,z'
'-x,-y,-z'
'-x,y,-z'
'x,-y,z'
loop_
_atom_site_label
_atom_site_type_symbol
_atom_site_fract_x
_atom_site_fract_y
_atom_site_fract_z
Pa1 Pa 0.2448 0.0000 0.2440
Pa2 Pa 0.2480 0.5000 0.7552
Ir1 Ir 0.5000 0.0000 0.0000
Ru1 Ru 0.0000 0.5000 0.0000
S1 S 0.0000 0.0000 0.5000
S2 S 0.5000 0.5000 0.5000
```

Top 10 peaks for 2θ = 10–90°, by angle:
hkl	d (Å)	2θ/deg	Rel. int.
0 0 1	6.932	12.77	11
0 0 2	3.466	25.70	10
1 1 -1	3.167	28.18	25
1 1 1	2.801	31.95	100
2 0 2	2.048	44.23	41
0 2 0	1.920	47.36	34
2 2 -2	1.583	58.27	18
2 2 2	1.401	66.79	12
0 2 4	1.286	73.64	18
1 3 1	1.222	78.23	11

# In2Se3
Simulated XRD peak list, Cu Ka. Input: a structure optimized by DFT (PBE).

Structure:
```
data_In2Se3
_space_group_name_H-M_alt 'P 61'
_space_group_IT_number 169
_cell_length_a 7.3238
_cell_length_b 7.3238
_cell_length_c 19.8870
_cell_angle_alpha 90.00
_cell_angle_beta 90.00
_cell_angle_gamma 120.00
loop_
_space_group_symop_operation_xyz
'x,y,z'
'x-y,x,z+1/6'
'-y,x-y,z+1/3'
'-x,-y,z+1/2'
'-x+y,-x,z+2/3'
'y,-x+y,z+5/6'
loop_
_atom_site_label
_atom_site_type_symbol
_atom_site_fract_x
_atom_site_fract_y
_atom_site_fract_z
In1 In 0.0013 0.3043 0.0000
In2 In 0.0114 0.6636 0.1380
Se1 Se 0.0290 0.6855 0.0038
Se2 Se 0.0370 0.6670 0.3535
Se3 Se 0.0683 0.3385 0.1432
```

Top 10 peaks for 2θ = 10–90°, by angle:
hkl	d (Å)	2θ/deg	Rel. int.
1 0 2	5.347	16.58	49
1 1 0	3.662	24.31	100
0 0 6	3.314	26.90	70
2 0 2	3.021	29.57	34
1 1 6	2.457	36.57	42
1 0 8	2.314	38.91	33
3 0 0	2.114	42.77	70
2 0 8	1.956	46.41	29
3 0 6	1.782	51.25	50
1 2 8	1.726	53.07	31